Computed X-ray diffraction stick pattern of Na2CrAsCO7 for copper Kα, from a cell relaxed with PBE+U.

Peak list (12 most intense, 2θ from 10° to 80°, low angle first)
23.61 deg, 3.768 Å, I 100.0, (1 1 1)
25.16 deg, 3.540 Å, I 91.5, (1 0 -2)
26.16 deg, 3.407 Å, I 30.0, (1 0 2)
26.44 deg, 3.371 Å, I 76.9, (0 2 0)
28.22 deg, 3.162 Å, I 36.4, (0 2 1)
29.38 deg, 3.041 Å, I 28.3, (1 1 2)
32.70 deg, 2.739 Å, I 45.4, (1 2 -1)
33.06 deg, 2.709 Å, I 76.5, (0 2 2)
33.32 deg, 2.689 Å, I 30.8, (1 0 -3)
33.48 deg, 2.677 Å, I 61.2, (2 0 0)
37.06 deg, 2.426 Å, I 30.4, (1 1 3)
54.46 deg, 1.685 Å, I 61.1, (0 4 0)

Structural model:
```
Na2CrAsCO7
1.0
5.3575 0.0000 0.0000
0.0000 6.7420 0.0000
-0.3550 0.0000 9.1202
Na Cr As C O
4 2 2 2 14
Cartesian
1.1634 0.0148 2.5314
1.1634 3.3562 2.5314
3.8392 3.3858 6.5888
3.8392 6.7271 6.5888
0.8312 1.6855 7.7027
4.1713 5.0565 1.4175
1.2000 5.0565 8.4332
3.8025 1.6855 0.6870
1.2828 1.6855 5.2788
3.7197 5.0565 3.8414
0.0750 1.6855 5.8097
0.7505 5.0565 0.8333
0.7607 3.6971 7.4890
0.7607 6.4159 7.4890
1.5098 1.6855 4.0445
2.0859 1.6855 0.4088
2.2371 1.6855 6.2013
2.7654 5.0565 2.9189
2.9166 5.0565 8.7114
3.4927 5.0565 5.0757
4.2418 0.3261 1.6312
4.2418 3.0449 1.6312
4.2520 1.6855 8.2869
4.9276 5.0565 3.3105
```